(1)
This entry pairs a crystal structure of Pr8In2Tc with its computed powder diffractogram. Radiation: Cu Kα (λ = 1.5418 Å). Structure: the GGA-PBE geometry in Alexandria.

Cell and atoms:
Cell: 9.460 9.460 9.460 Å, 144.39 135.40 58.33°
Fractional coordinates of all 11 atoms:
Pr  0.138  0.375  0.763
Pr  0.195  0.195  0.000
Pr  0.247  0.000  0.247
Pr  0.388  0.625  0.763
Pr  0.612  0.375  0.237
Pr  0.753  0.000  0.753
Pr  0.805  0.805  0.000
Pr  0.862  0.625  0.237
In  0.314  0.814  0.500
In  0.686  0.186  0.500
Tc  0.000  0.500  0.500

The 10 most intense peaks (2θ from 10° to 90°), in order of falling intensity:
| 2θ (°) | I/Imax |
| --- | --- |
| 33.59 | 100 |
| 31.17 | 46 |
| 30.91 | 44 |
| 60.87 | 31 |
| 56.71 | 22 |
| 27.08 | 18 |
| 51.02 | 15 |
| 60.72 | 12 |
| 41.56 | 12 |
| 50.87 | 10 |

=====

(2)
This entry pairs a crystal structure of Ca3BeAs3 with its computed powder diffractogram. Radiation: Cu Kα (λ = 1.5418 Å). Structure: the GGA-PBE geometry in Alexandria.

Cell and atoms:
Cell: 9.497 9.497 12.049 Å, 90.00 90.00 37.42°
Fractional coordinates of all 28 atoms:
Ca  0.032  0.623  0.130
Ca  0.123  0.532  0.630
Ca  0.196  0.804  0.855
Ca  0.304  0.696  0.355
Ca  0.377  0.968  0.130
Ca  0.468  0.877  0.630
Ca  0.532  0.123  0.370
Ca  0.623  0.032  0.870
Ca  0.696  0.304  0.645
Ca  0.804  0.196  0.145
Ca  0.877  0.468  0.370
Ca  0.968  0.377  0.870
Be  0.083  0.083  0.500
Be  0.417  0.417  0.000
Be  0.583  0.583  0.000
Be  0.917  0.917  0.500
As  0.048  0.633  0.383
As  0.133  0.548  0.883
As  0.210  0.790  0.606
As  0.290  0.710  0.106
As  0.367  0.952  0.383
As  0.452  0.867  0.883
As  0.548  0.133  0.117
As  0.633  0.048  0.617
As  0.710  0.290  0.894
As  0.790  0.210  0.394
As  0.867  0.452  0.117
As  0.952  0.367  0.617

The 10 most intense peaks (2θ from 10° to 90°), in order of falling intensity:
| 2θ (°) | I/Imax |
| --- | --- |
| 29.80 | 100 |
| 29.66 | 95 |
| 29.32 | 78 |
| 42.54 | 71 |
| 42.30 | 69 |
| 42.19 | 55 |
| 52.50 | 53 |
| 25.55 | 48 |
| 31.89 | 20 |
| 69.91 | 20 |

=====

(3)
This entry pairs a crystal structure of Rb2Sn3Bi2 with its computed powder diffractogram. Radiation: Cu Kα (λ = 1.5418 Å). Structure: the GGA-PBE geometry in Alexandria.

Cell and atoms:
Cell: 13.008 5.441 8.169 Å, 90.00 115.63 90.00°
Fractional coordinates of all 14 atoms:
Rb  0.154  0.000  0.287
Rb  0.346  0.500  0.713
Rb  0.654  0.500  0.287
Rb  0.846  0.000  0.713
Sn  0.000  0.500  0.500
Sn  0.093  0.500  0.915
Sn  0.407  0.000  0.085
Sn  0.500  0.000  0.500
Sn  0.593  0.000  0.915
Sn  0.907  0.500  0.085
Bi  0.151  0.000  0.769
Bi  0.349  0.500  0.231
Bi  0.651  0.500  0.769
Bi  0.849  0.000  0.231

The 10 most intense peaks (2θ from 10° to 90°), in order of falling intensity:
| 2θ (°) | I/Imax |
| --- | --- |
| 32.91 | 100 |
| 28.11 | 85 |
| 27.45 | 76 |
| 14.69 | 68 |
| 30.02 | 62 |
| 33.88 | 32 |
| 38.61 | 32 |
| 37.62 | 27 |
| 52.02 | 25 |
| 36.20 | 25 |

=====

(4)
This entry pairs a crystal structure of Ce4PSe3 with its computed powder diffractogram. Radiation: Cu Kα (λ = 1.5418 Å). Structure: the GGA-PBE geometry in Alexandria.

Cell and atoms:
Cell: 8.380 11.808 4.163 Å, 90.00 90.00 90.00°
Fractional coordinates of all 16 atoms:
Ce  0.000  0.244  0.000
Ce  0.000  0.756  0.000
Ce  0.238  0.000  0.500
Ce  0.262  0.500  0.500
Ce  0.500  0.256  0.000
Ce  0.500  0.744  0.000
Ce  0.738  0.500  0.500
Ce  0.762  0.000  0.500
P  0.000  0.000  0.000
P  0.500  0.500  0.000
Se  0.000  0.500  0.000
Se  0.250  0.250  0.500
Se  0.250  0.750  0.500
Se  0.500  0.000  0.000
Se  0.750  0.250  0.500
Se  0.750  0.750  0.500

The 10 most intense peaks (2θ from 10° to 90°), in order of falling intensity:
| 2θ (°) | I/Imax |
| --- | --- |
| 30.27 | 100 |
| 43.34 | 49 |
| 71.44 | 21 |
| 53.90 | 13 |
| 53.64 | 13 |
| 43.48 | 12 |
| 43.18 | 12 |
| 79.68 | 12 |
| 62.95 | 12 |
| 26.19 | 11 |

=====

(5)
This entry pairs a crystal structure of Sc3P4 with its computed powder diffractogram. Radiation: Cu Kα (λ = 1.5418 Å). Structure: the GGA-PBE geometry in Alexandria.

Cell and atoms:
Cell: 3.643 3.643 20.800 Å, 90.00 90.00 90.00°
Fractional coordinates of all 14 atoms:
Sc  0.000  0.000  0.000
Sc  0.000  0.000  0.311
Sc  0.000  0.000  0.689
Sc  0.500  0.500  0.189
Sc  0.500  0.500  0.500
Sc  0.500  0.500  0.811
P  0.000  0.000  0.181
P  0.000  0.000  0.448
P  0.000  0.000  0.552
P  0.000  0.000  0.819
P  0.500  0.500  0.052
P  0.500  0.500  0.319
P  0.500  0.500  0.681
P  0.500  0.500  0.948

The 10 most intense peaks (2θ from 10° to 90°), in order of falling intensity:
| 2θ (°) | I/Imax |
| --- | --- |
| 34.83 | 100 |
| 50.08 | 32 |
| 25.70 | 31 |
| 39.12 | 30 |
| 43.78 | 26 |
| 49.83 | 24 |
| 34.50 | 19 |
| 17.05 | 16 |
| 84.02 | 15 |
| 62.23 | 12 |

=====

(6)
This entry pairs a crystal structure of GeSb2Pb3Au6 with its computed powder diffractogram. Radiation: Cu Kα (λ = 1.5418 Å). Structure: the GGA-PBE geometry in Alexandria.

Cell and atoms:
Cell: 6.049 6.049 9.237 Å, 90.00 90.00 120.00°
Fractional coordinates of all 12 atoms:
Ge  0.000  0.000  0.000
Sb  0.333  0.667  0.549
Sb  0.667  0.333  0.451
Pb  0.000  0.000  0.500
Pb  0.333  0.667  0.097
Pb  0.667  0.333  0.903
Au  0.169  0.337  0.787
Au  0.169  0.831  0.787
Au  0.337  0.169  0.213
Au  0.663  0.831  0.787
Au  0.831  0.169  0.213
Au  0.831  0.663  0.213

The 10 most intense peaks (2θ from 10° to 90°), in order of falling intensity:
| 2θ (°) | I/Imax |
| --- | --- |
| 35.63 | 100 |
| 35.48 | 68 |
| 39.55 | 67 |
| 61.30 | 34 |
| 42.80 | 32 |
| 29.00 | 26 |
| 61.71 | 22 |
| 19.48 | 19 |
| 45.46 | 19 |
| 56.32 | 18 |